This entry pairs a crystal structure of K2RbLaV2O8 with its theoretical PXRD pattern. Radiation: Cu Kα, 1.54184 Å. Structure: a DFT-relaxed cell (PBE+U, Alexandria).

Principal peaks in the range 10 to 90 degrees two-theta, by intensity:
hkl 0 1 2, 27.99°, intensity 1000
hkl 1 1 0, 28.93°, intensity 930
hkl 2 0 2, 40.69°, intensity 511
hkl 1 2 2, 50.69°, intensity 343
hkl 1 0 0, 16.58°, intensity 296
hkl 1 1 4, 55.00°, intensity 241
hkl 1 0 1, 20.02°, intensity 201
hkl 3 0 0, 51.26°, intensity 172
hkl 2 2 0, 59.93°, intensity 167
hkl 3 1 2, 67.42°, intensity 159

Atomic structure:
Lattice parameters (Å, degrees): 6.1736 6.1736 7.9405 90.00 90.00 120.00
Space group P-3m1 (No. 164)
One atom of each set of equivalent atoms:
K  0.3333  0.6667  0.2018 [2 per cell]
Rb  0.0000  0.0000  0.5000 [1 per cell]
La  0.0000  0.0000  0.0000 [1 per cell]
V  0.3333  0.6667  0.7405 [2 per cell]
O  0.1784  0.3568  0.8180 [6 per cell]
O  0.3333  0.6667  0.5283 [2 per cell]